Entry 1:
Diffraction record for Ho4TcSb. The powder X-ray diffraction pattern is calculated, not measured: it uses a crystal structure in Alexandria, relaxed with GGA-PBE and Cu Kα (weighted mean of Kα1 and Kα2).
Lines closer than 0.1° are merged.

Structure:
Lattice parameters (Å, degrees): 7.988 4.265 18.684 90.00 90.00 90.00
Fractional positions:
Ho  0.000  0.250  0.065
Ho  0.000  0.750  0.935
Ho  0.060  0.250  0.789
Ho  0.120  0.250  0.358
Ho  0.147  0.250  0.548
Ho  0.353  0.750  0.048
Ho  0.380  0.750  0.858
Ho  0.440  0.750  0.289
Ho  0.500  0.250  0.435
Ho  0.500  0.750  0.565
Ho  0.560  0.250  0.711
Ho  0.620  0.250  0.142
Ho  0.647  0.250  0.952
Ho  0.853  0.750  0.452
Ho  0.880  0.750  0.642
Ho  0.940  0.750  0.211
Tc  0.245  0.250  0.939
Tc  0.255  0.750  0.439
Tc  0.745  0.250  0.561
Tc  0.755  0.750  0.061
Sb  0.245  0.250  0.193
Sb  0.255  0.750  0.693
Sb  0.745  0.250  0.307
Sb  0.755  0.750  0.807

Principal peaks in the range 2θ = 5–70°, by intensity:
| 2θ/deg | I/Imax |
| --- | --- |
| 34.0 | 1000 |
| 30.5 | 937 |
| 30.7 | 511 |
| 42.4 | 416 |
| 31.8 | 285 |
| 32.8 | 277 |
| 38.9 | 273 |
| 35.5 | 253 |
| 39.2 | 185 |
| 41.5 | 162 |
| 58.9 | 161 |
| 54.6 | 150 |

---

Entry 2:
Diffraction record for Nd2Y12Ho. The powder X-ray diffraction pattern is calculated, not measured: it uses a crystal structure in Alexandria, relaxed with GGA-PBE and Cu Kα (weighted mean of Kα1 and Kα2).
Lines closer than 0.1° are merged.

Structure:
Lattice parameters (Å, degrees): 6.716 6.716 24.897 90.00 90.00 116.30
Fractional positions:
Nd  0.250  0.750  0.235
Nd  0.250  0.750  0.769
Nd  0.750  0.250  0.231
Nd  0.750  0.250  0.765
Y  0.000  0.000  0.424
Y  0.000  0.000  0.576
Y  0.000  0.500  0.374
Y  0.000  0.500  0.626
Y  0.011  0.511  0.085
Y  0.014  0.986  0.939
Y  0.250  0.250  0.173
Y  0.250  0.250  0.302
Y  0.250  0.250  0.698
Y  0.250  0.250  0.827
Y  0.486  0.514  0.939
Y  0.489  0.989  0.085
Y  0.500  0.000  0.374
Y  0.500  0.000  0.626
Y  0.500  0.500  0.424
Y  0.500  0.500  0.576
Y  0.511  0.011  0.915
Y  0.514  0.486  0.061
Y  0.750  0.750  0.173
Y  0.750  0.750  0.302
Y  0.750  0.750  0.698
Y  0.750  0.750  0.827
Y  0.986  0.014  0.061
Y  0.989  0.489  0.915
Ho  0.250  0.750  0.500
Ho  0.750  0.250  0.500

Principal peaks in the range 2θ = 5–70°, by intensity:
| 2θ/deg | I/Imax |
| --- | --- |
| 31.4 | 1000 |
| 30.6 | 864 |
| 32.8 | 855 |
| 33.1 | 804 |
| 29.6 | 714 |
| 29.0 | 465 |
| 36.9 | 458 |
| 31.6 | 354 |
| 43.2 | 311 |
| 58.2 | 300 |
| 61.6 | 276 |
| 62.5 | 260 |

---

Entry 3:
Diffraction record for Tb7Ho4Mg. The powder X-ray diffraction pattern is calculated, not measured: it uses a crystal structure in Alexandria, relaxed with GGA-PBE and Cu Kα (weighted mean of Kα1 and Kα2).
Lines closer than 0.1° are merged.

Structure:
Lattice parameters (Å, degrees): 5.568 5.568 13.742 90.00 90.00 120.00
Fractional positions:
Tb  0.000  0.000  0.000
Tb  0.000  0.000  0.249
Tb  0.000  0.000  0.751
Tb  0.333  0.667  0.128
Tb  0.333  0.667  0.385
Tb  0.667  0.333  0.615
Tb  0.667  0.333  0.872
Ho  0.333  0.667  0.620
Ho  0.333  0.667  0.873
Ho  0.667  0.333  0.127
Ho  0.667  0.333  0.380
Mg  0.000  0.000  0.500

Principal peaks in the range 2θ = 5–70°, by intensity:
| 2θ/deg | I/Imax |
| --- | --- |
| 32.2 | 1000 |
| 32.0 | 821 |
| 57.2 | 316 |
| 46.0 | 302 |
| 63.7 | 265 |
| 57.3 | 194 |
| 41.8 | 183 |
| 67.3 | 120 |
| 25.9 | 108 |
| 53.3 | 75 |
| 63.9 | 59 |
| 19.5 | 48 |

---

Entry 4:
Diffraction record for Tm12Cu6Rh. The powder X-ray diffraction pattern is calculated, not measured: it uses a crystal structure in Alexandria, relaxed with GGA-PBE and Cu Kα (weighted mean of Kα1 and Kα2).
Lines closer than 0.1° are merged.

Structure:
Lattice parameters (Å, degrees): 8.278 8.278 8.278 109.47 109.47 109.47
Fractional positions:
Tm  0.104  0.815  0.289
Tm  0.185  0.289  0.474
Tm  0.185  0.711  0.896
Tm  0.289  0.104  0.815
Tm  0.289  0.474  0.185
Tm  0.474  0.185  0.289
Tm  0.526  0.815  0.711
Tm  0.711  0.526  0.815
Tm  0.711  0.896  0.185
Tm  0.815  0.289  0.104
Tm  0.815  0.711  0.526
Tm  0.896  0.185  0.711
Cu  0.128  0.628  0.500
Cu  0.372  0.500  0.872
Cu  0.500  0.128  0.628
Cu  0.500  0.872  0.372
Cu  0.628  0.500  0.128
Cu  0.872  0.372  0.500
Rh  0.000  0.000  0.000

Principal peaks in the range 2θ = 5–70°, by intensity:
| 2θ/deg | I/Imax |
| --- | --- |
| 35.1 | 1000 |
| 32.4 | 450 |
| 56.1 | 331 |
| 59.6 | 325 |
| 29.6 | 299 |
| 37.6 | 208 |
| 69.5 | 179 |
| 40.0 | 142 |
| 48.6 | 125 |
| 42.3 | 121 |
| 26.4 | 113 |
| 57.9 | 111 |

---

Entry 5:
Diffraction record for Rb2SrNpBr8. The powder X-ray diffraction pattern is calculated, not measured: it uses a crystal structure in Alexandria, relaxed with GGA-PBE and Cu Kα (weighted mean of Kα1 and Kα2).
Lines closer than 0.1° are merged.

Structure:
Lattice parameters (Å, degrees): 7.216 9.321 7.892 90.00 92.09 90.00
Fractional positions:
Rb  0.000  0.249  0.000
Rb  0.000  0.751  0.000
Sr  0.500  0.000  0.500
Np  0.500  0.500  0.500
Br  0.260  0.000  0.191
Br  0.277  0.279  0.623
Br  0.277  0.721  0.623
Br  0.298  0.500  0.197
Br  0.702  0.500  0.803
Br  0.723  0.279  0.377
Br  0.723  0.721  0.377
Br  0.740  0.000  0.809

Principal peaks in the range 2θ = 5–70°, by intensity:
| 2θ/deg | I/Imax |
| --- | --- |
| 33.1 | 1000 |
| 16.4 | 873 |
| 25.2 | 665 |
| 22.7 | 586 |
| 39.3 | 547 |
| 17.0 | 442 |
| 11.2 | 402 |
| 38.6 | 385 |
| 33.7 | 334 |
| 26.1 | 334 |
| 25.6 | 328 |
| 34.3 | 328 |